Structure and theoretical X-ray diffraction stick pattern of KCr5Se8 (a DFT-relaxed cell (GGA-PBE, the Materials Project); Cu Kα X-rays).
Peak positions follow from Bragg's law for the DFT cell and can differ from measured ones.

Crystal structure
a b c (Å): 9.639 9.639 9.055
angles (deg): 104.44 104.44 22.12
Sites, in units of the cell vectors:
K 0.000 0.000 0.000
Cr 0.108 0.208 0.480
Cr 0.154 0.255 0.836
Cr 0.449 0.551 0.500
Cr 0.745 0.846 0.164
Cr 0.792 0.892 0.520
Se 0.024 0.125 0.657
Se 0.211 0.312 0.343
Se 0.280 0.380 0.009
Se 0.365 0.463 0.672
Se 0.537 0.635 0.328
Se 0.620 0.720 0.991
Se 0.688 0.789 0.657
Se 0.875 0.976 0.343

The 6 most intense peaks (10 to 90 degrees two-theta), sorted by position:
- 10.10 deg, rel. 46
- 31.19 deg, rel. 50
- 31.32 deg, rel. 100
- 32.68 deg, rel. 64
- 49.29 deg, rel. 31
- 49.91 deg, rel. 57